This entry pairs a crystal structure of BeI2 with its calculated XRD peak list. Radiation: Cu Kα. Structure: a structure optimized by DFT (PBE).
Lines closer than 0.1° are merged.

Cell and atoms:
abc: 6.505 12.174 6.143
angles: 90.00 90.00 90.00
Space group Ibam (No. 72)
Symmetry-distinct sites (fractional):
Be (0.000, 0.000, 0.250)
I (0.205, 0.109, 0.000)

Largest 6 diffraction maxima, low angle first, 2θ from 10° to 90°:
24.72°, intensity 100; 27.42°, intensity 14; 29.07°, intensity 18; 29.35°, intensity 15; 41.78°, intensity 12; 48.98°, intensity 16